SrSmCdAg: calculated powder diffraction line list (Cu Kα), based on a cell relaxed with PBE.
Kinematic intensities with the Lorentz-polarization factor, no thermal factor.

a = 3.8633 Å, b = 3.8633 Å, c = 7.7758 Å
α = 90.00°, β = 90.00°, γ = 90.00°
Space group P4mm (No. 99)
Symmetry-distinct sites (fractional):
Sr1 0.0000 0.0000 0.0000 (multiplicity 1)
Sm1 0.0000 0.0000 0.4842 (multiplicity 1)
Cd1 0.5000 0.5000 0.7172 (multiplicity 1)
Ag1 0.5000 0.5000 0.2759 (multiplicity 1)

Principal peaks in the range 5 to 70 degrees two-theta, by intensity:
32.68 deg, intensity 100, hkl 1 0 2
32.78 deg, intensity 53, hkl 1 1 0
58.46 deg, intensity 36, hkl 2 1 2
47.04 deg, intensity 19, hkl 2 0 0
11.38 deg, intensity 15, hkl 0 0 1
58.25 deg, intensity 15, hkl 1 1 4

=====

CdAg6Sn2: calculated powder diffraction line list (Cu Kα), based on a cell relaxed with PBE.
Kinematic intensities with the Lorentz-polarization factor, no thermal factor.

a = 8.9704 Å, b = 8.9704 Å, c = 4.4172 Å
α = 90.00°, β = 90.00°, γ = 90.00°
Space group P4_2/mnm (No. 136)
Symmetry-distinct sites (fractional):
Cd1 0.0000 0.0000 0.0000 (multiplicity 2)
Ag1 0.0033 0.3366 0.0000 (multiplicity 8)
Ag2 0.1634 0.8366 0.5000 (multiplicity 4)
Sn1 0.1748 0.1748 0.5000 (multiplicity 4)

Principal peaks in the range 5 to 70 degrees two-theta, by intensity:
36.28 deg, intensity 100, hkl 3 0 1
42.77 deg, intensity 31, hkl 3 3 0
60.63 deg, intensity 21, hkl 3 3 2
40.86 deg, intensity 18, hkl 0 0 2
62.08 deg, intensity 10, hkl 6 0 0
37.69 deg, intensity 1, hkl 3 1 1

=====

Cd3Ag2Sn: calculated powder diffraction line list (Cu Kα), based on a cell relaxed with PBE.
Kinematic intensities with the Lorentz-polarization factor, no thermal factor.

a = 5.0389 Å, b = 7.2270 Å, c = 8.0629 Å
α = 104.08°, β = 90.50°, γ = 110.13°
Space group P-1 (No. 2)
Symmetry-distinct sites (fractional):
Cd1 0.0807 0.1547 0.2757 (multiplicity 2)
Cd2 0.3169 0.6322 0.5013 (multiplicity 2)
Cd3 0.3879 0.7806 0.9160 (multiplicity 2)
Ag1 0.2407 0.4771 0.1029 (multiplicity 2)
Ag2 0.4719 0.9366 0.3026 (multiplicity 2)
Sn1 0.1475 0.3014 0.7228 (multiplicity 2)

Principal peaks in the range 5 to 70 degrees two-theta, by intensity:
35.64 deg, intensity 100, hkl 2 -1 0
37.82 deg, intensity 71, hkl 1 -3 1
37.65 deg, intensity 70, hkl 1 2 -1
39.87 deg, intensity 55, hkl 1 -2 3
39.21 deg, intensity 50, hkl 1 1 2
39.09 deg, intensity 50, hkl -1 2 2